Diffraction record for AcBiI6. The XRD peak list is simulated, not measured: it uses a crystal structure in Alexandria, relaxed with PBE and Cu Kα, 1.54184 Å.
Lines closer than 0.1° are merged.

Principal peaks in the range 2θ from 10° to 90°, most intense first:
2θ/deg  Rel. int.
25.8  100
33.9  75
15.4  63
39.7  51
21.1  38
44.4  23
27.5  22
66.5  22
53.1  21
35.8  20

Structure:
```
AcBiI6
1.0
3.9350 2.2719 7.1590
-3.9350 2.2719 7.1590
0.0000 -4.5437 7.1590
Ac Bi I
1 1 6
Cartesian
0.0000 0.0000 0.0000 Ac
0.0000 0.0000 10.7385 Bi
-2.5789 -0.0990 8.9883 I
-1.2037 -2.2829 12.4888 I
1.3752 -2.1839 8.9883 I
-1.3752 2.1839 12.4888 I
1.2037 2.2829 8.9883 I
2.5789 0.0990 12.4888 I
```